Diffraction record for Tl2Pt7. The XRD peak list is calculated, not measured: it uses a crystal structure in OQMD, relaxed with GGA-PBE and λ = 1.5418 Å (Cu Kα).

Structure:
a = 2.9246 Å, b = 2.9246 Å, c = 32.4980 Å
α = 90.00°, β = 90.00°, γ = 120.00°
Space group P-3m1 (No. 164)
Inequivalent atoms, fractional coordinates:
Tl (0.3333, 0.6667, 0.2205) (multiplicity 2)
Pt (0.0000, 0.0000, 0.2978) (multiplicity 2)
Pt (0.0000, 0.0000, 0.5000) (multiplicity 1)
Pt (0.3333, 0.6667, 0.4333) (multiplicity 2)
Pt (0.3333, 0.6667, 0.6338) (multiplicity 2)

Main lines, sorted by position (2θ = 10–90°):
| Position (°2θ) | I_rel | (hkl) |
| --- | --- | --- |
| 37.2 | 41 | 1 0 4 |
| 38.1 | 100 | 1 0 5 |
| 38.8 | 19 | 0 0 14 |
| 41.7 | 19 | 0 0 15 |
| 43.7 | 34 | 0 1 9 |
| 45.4 | 55 | 0 1 10 |
| 63.7 | 34 | 1 1 0 |
| 79.0 | 18 | 1 1 15 |

Diffraction record for LuRe. The XRD peak list is calculated, not measured: it uses a crystal structure in OQMD, relaxed with GGA-PBE and λ = 1.5418 Å (Cu Kα).

Structure:
a = 3.071 Å, b = 4.653 Å, c = 3.085 Å
α = 90.00°, β = 119.57°, γ = 90.00°
Space group Pm (No. 6)
Inequivalent atoms, fractional coordinates:
Lu (0.000, 0.000, 0.000) (multiplicity 1)
Re (0.667, 0.500, 0.337) (multiplicity 1)

Main lines, sorted by position (2θ = 10–90°):
| Position (°2θ) | I_rel | (hkl) |
| --- | --- | --- |
| 33.4 | 14 | 0 0 1 |
| 33.5 | 15 | 1 0 0 |
| 33.7 | 15 | 1 0 -1 |
| 38.7 | 100 | 0 2 0 |
| 38.9 | 59 | 1 1 0 |
| 39.0 | 58 | 1 1 -1 |
| 70.1 | 23 | 0 3 1 |
| 73.4 | 21 | 1 2 1 |

Diffraction record for TePbAu. The XRD peak list is calculated, not measured: it uses a crystal structure in OQMD, relaxed with GGA-PBE and λ = 1.5418 Å (Cu Kα).

Structure:
a = 6.773 Å, b = 4.433 Å, c = 12.317 Å
α = 90.00°, β = 90.00°, γ = 90.00°
Space group Pnma (No. 62)
Inequivalent atoms, fractional coordinates:
Te (0.145, 0.250, 0.112) (multiplicity 4)
Pb (0.155, 0.250, 0.364) (multiplicity 4)
Au (0.120, 0.250, 0.626) (multiplicity 4)

Main lines, sorted by position (2θ = 10–90°):
| Position (°2θ) | I_rel | (hkl) |
| --- | --- | --- |
| 14.9 | 36 | 1 0 1 |
| 25.1 | 27 | 1 1 1 |
| 29.0 | 73 | 0 0 4 |
| 32.5 | 29 | 1 1 3 |
| 33.3 | 100 | 2 1 0 |
| 40.7 | 35 | 0 2 0 |
| 44.7 | 85 | 2 1 4 |
| 50.8 | 34 | 0 2 4 |

Diffraction record for Pm3Dy2Er. The XRD peak list is calculated, not measured: it uses a crystal structure in OQMD, relaxed with GGA-PBE and λ = 1.5418 Å (Cu Kα).

Structure:
a = 10.818 Å, b = 6.234 Å, c = 11.591 Å
α = 90.00°, β = 90.00°, γ = 90.00°
Space group Cmc2_1 (No. 36)
Inequivalent atoms, fractional coordinates:
Pm (0.000, 0.001, 0.000) (multiplicity 4)
Pm (0.166, 0.499, 0.500) (multiplicity 8)
Dy (0.167, 0.166, 0.250) (multiplicity 8)
Er (0.000, 0.334, 0.750) (multiplicity 4)

Main lines, sorted by position (2θ = 10–90°):
| Position (°2θ) | I_rel | (hkl) |
| --- | --- | --- |
| 29.7 | 48 | 0 2 1 |
| 30.9 | 35 | 0 0 4 |
| 32.6 | 100 | 3 1 2 |
| 37.0 | 27 | 0 2 3 |
| 50.7 | 27 | 6 0 0 |
| 56.0 | 22 | 3 1 6 |
| 60.5 | 31 | 6 0 4 |
| 61.6 | 16 | 0 4 2 |